Ba2Li3Y3W8O32: theoretical powder XRD pattern (copper Kα), based on a crystal structure in the Materials Project, relaxed with PBE+U.

Structural model:
```
48
Lattice="5.2597 0.0000 0.0000 2.5946 6.4378 0.0000 0.7982 0.2094 19.3731" Properties=species:S:1:pos:R:3 pbc="T T T"
Ba 0.0000 0.0000 0.0000
Ba 2.9609 5.6581 9.1922
Li 2.9351 1.9748 9.2730
Li 6.0953 3.8672 19.2419
Li 5.3851 1.4712 3.8505
Y 3.1454 4.2782 13.6320
Y 2.8432 4.1555 5.1153
Y 5.8754 1.5847 14.8904
W 3.3360 2.8969 17.1597
W 2.6849 2.6864 1.6913
W 2.8044 0.4050 6.3241
W 3.2424 0.4945 12.4067
W 5.7760 5.3580 16.0993
W 5.4192 5.2563 2.7558
W 5.6915 2.9636 11.3537
W 5.5436 2.9372 7.4479
O 1.7693 4.1554 1.0918
O 1.1513 1.4599 8.0525
O 2.1106 2.3888 18.3534
O 2.3561 3.0988 15.5637
O 1.3767 1.4732 1.9415
O 2.0080 1.8527 5.5077
O 2.0968 0.3724 16.2426
O 4.4372 6.3975 13.5245
O 4.0902 5.7526 3.9162
O 2.3466 0.7833 10.8748
O 4.1608 4.4783 17.5357
O 4.2270 5.4512 6.6398
O 4.3776 4.1924 11.6939
O 3.6677 3.0221 3.2098
O 4.5359 4.9265 1.1800
O 4.4358 3.4191 8.8303
O 4.0114 1.8900 13.4220
O 3.7735 2.2492 0.2674
O 5.0204 3.9643 15.0633
O 3.6584 0.7105 7.9190
O 4.5418 2.7169 5.9489
O 4.6396 1.6639 16.7990
O 3.9020 0.2375 2.4489
O 4.8650 1.3949 10.9423
O 6.6852 5.0775 17.6210
O 6.7353 6.2289 5.2618
O 7.1724 5.8932 14.9633
O 6.9291 5.4858 12.2391
O 6.3431 3.9307 3.6712
O 6.8789 4.1619 7.1789
O 6.6782 2.7585 12.9382
O 6.8909 3.4676 10.1293
```

Main lines, sorted by position (2θ = 10–90°):
| d (Å) | 2θ (°) | Rel. int. |
| --- | --- | --- |
| 4.843 | 18.3 | 53 |
| 3.499 | 25.5 | 62 |
| 3.290 | 27.1 | 100 |
| 3.276 | 27.2 | 67 |
| 3.248 | 27.5 | 51 |
| 3.089 | 28.9 | 79 |
| 2.986 | 29.9 | 78 |
| 2.897 | 30.9 | 71 |
| 2.872 | 31.1 | 59 |
| 2.628 | 34.1 | 58 |

---

Ba2LuMoO6: theoretical powder XRD pattern (copper Kα), based on a crystal structure in the Materials Project, relaxed with PBE+U.

Structural model:
```
10
Lattice="0.0000 4.2067 4.2067 4.2067 0.0000 4.2067 4.2067 4.2067 0.0000" Properties=species:S:1:pos:R:3 pbc="T T T"
Ba 2.1033 2.1033 2.1033
Ba 6.3100 6.3100 6.3100
Lu 0.0000 0.0000 0.0000
Mo 4.2067 4.2067 4.2067
O 4.2067 4.2067 2.1950
O 4.2067 2.1950 4.2067
O 6.2183 4.2067 4.2067
O 2.1950 4.2067 4.2067
O 4.2067 6.2183 4.2067
O 4.2067 4.2067 6.2183
```

Main lines, sorted by position (2θ = 10–90°):
| d (Å) | 2θ (°) | Rel. int. |
| --- | --- | --- |
| 4.857 | 18.3 | 4 |
| 2.975 | 30.0 | 100 |
| 2.537 | 35.4 | 3 |
| 2.103 | 43.0 | 29 |
| 1.930 | 47.1 | 2 |
| 1.717 | 53.3 | 40 |
| 1.487 | 62.4 | 18 |
| 1.330 | 70.8 | 18 |
| 1.214 | 78.8 | 6 |
| 1.124 | 86.6 | 22 |